[1]
# Na3Y2P3O12
Calculated XRD peak list, λ = 1.5418 Å (Cu Kα). Input: DFT lattice parameters and positions (GGA-PBE).
Peak positions follow from Bragg's law for the DFT cell and can differ from measured ones.

```
data_Na3Y2P3O12
_chemical_formula_sum 'Na6 Y4 P6 O24'
_symmetry_space_group_name_H-M 'P 1'
_symmetry_Int_Tables_number 1
_symmetry_space_group_name_Hall 'P 1'
_cell_length_a 9.3556
_cell_length_b 9.3556
_cell_length_c 9.4266
_cell_angle_alpha 119.93
_cell_angle_beta 119.93
_cell_angle_gamma 59.67
loop_
_atom_site_label
_atom_site_fract_x
_atom_site_fract_y
_atom_site_fract_z
_atom_site_occupancy
Na1 0.0686 0.9314 0.5000 1
Na2 0.2062 0.6572 0.7986 1
Na3 0.5917 0.7904 0.0455 1
Na4 0.6572 0.2062 0.2986 1
Na5 0.7904 0.5917 0.5455 1
Na6 0.9314 0.0686 0.0000 1
Y1 0.0548 0.5311 0.3545 1
Y2 0.3374 0.8379 0.2457 1
Y3 0.5311 0.0548 0.8545 1
Y4 0.8379 0.3374 0.7457 1
P1 0.1287 0.2420 0.5433 1
P2 0.2420 0.1287 0.0433 1
P3 0.4432 0.6472 0.5635 1
P4 0.6472 0.4432 0.0635 1
P5 0.7471 0.9370 0.5511 1
P6 0.9370 0.7471 0.0511 1
O1 0.0861 0.7741 0.0490 1
O2 0.0884 0.1620 0.8778 1
O3 0.1029 0.4211 0.5475 1
O4 0.1620 0.0884 0.3778 1
O5 0.1995 0.2832 0.2034 1
O6 0.2576 0.9551 0.0447 1
O7 0.2819 0.6311 0.5546 1
O8 0.2832 0.1995 0.7034 1
O9 0.3940 0.7030 0.4110 1
O10 0.4211 0.1029 0.0475 1
O11 0.4714 0.5995 0.0509 1
O12 0.4969 0.7921 0.7355 1
O13 0.5915 0.8902 0.3898 1
O14 0.5995 0.4714 0.5509 1
O15 0.6311 0.2819 0.0546 1
O16 0.7030 0.3940 0.9110 1
O17 0.7133 0.9854 0.7185 1
O18 0.7741 0.0861 0.5490 1
O19 0.7755 0.9206 0.0509 1
O20 0.7921 0.4969 0.2355 1
O21 0.8902 0.5915 0.8898 1
O22 0.9206 0.7755 0.5509 1
O23 0.9551 0.2576 0.5447 1
O24 0.9854 0.7133 0.2185 1
```

Principal peaks in the range 2θ from 15° to 90°, low angle first:
Position (°2θ)	I_rel
18.87	631
19.01	526
22.21	168
22.28	327
26.90	315
30.05	1000
33.11	372
33.28	477
45.35	274
49.45	176

---

[2]
# Lu3Ru
Calculated XRD peak list, λ = 1.5418 Å (Cu Kα). Input: DFT lattice parameters and positions (GGA-PBE).
Peak positions follow from Bragg's law for the DFT cell and can differ from measured ones.

```
data_Lu3Ru
_chemical_formula_sum 'Lu12 Ru4'
_symmetry_space_group_name_H-M 'P 1'
_symmetry_Int_Tables_number 1
_symmetry_space_group_name_Hall 'P 1'
_cell_length_a 7.2204
_cell_length_b 8.9129
_cell_length_c 6.1356
_cell_angle_alpha 90.00
_cell_angle_beta 90.00
_cell_angle_gamma 90.00
loop_
_atom_site_label
_atom_site_fract_x
_atom_site_fract_y
_atom_site_fract_z
_atom_site_occupancy
Lu1 0.0405 0.2500 0.1313 1
Lu2 0.1766 0.0632 0.6666 1
Lu3 0.1766 0.4368 0.6666 1
Lu4 0.3234 0.5632 0.1666 1
Lu5 0.3234 0.9368 0.1666 1
Lu6 0.4595 0.7500 0.6313 1
Lu7 0.5405 0.2500 0.3687 1
Lu8 0.6766 0.0632 0.8334 1
Lu9 0.6766 0.4368 0.8334 1
Lu10 0.8234 0.5632 0.3334 1
Lu11 0.8234 0.9368 0.3334 1
Lu12 0.9595 0.7500 0.8687 1
Ru1 0.1159 0.7500 0.4602 1
Ru2 0.3841 0.2500 0.9602 1
Ru3 0.6159 0.7500 0.0398 1
Ru4 0.8841 0.2500 0.5398 1
```

Principal peaks in the range 2θ from 15° to 90°, low angle first:
Position (°2θ)	I_rel
30.43	565
31.69	624
31.90	754
33.29	923
33.51	1000
35.18	791
35.81	670
40.25	411
50.72	379
57.72	490